# 1
NaLi2ZrO4: calculated powder diffractogram (Cu Kα), based on a DFT-relaxed cell (GGA-PBE, Alexandria).
No peak broadening, texture or thermal motion is included.

Most intense lines, 15° ≤ 2θ ≤ 90°, sorted by position:
two_theta	d/Å	Rel. int.
21.10	4.210	100
23.40	3.801	81
35.51	2.528	88
42.97	2.105	45
47.86	1.901	31
60.99	1.519	33

Structure:
a b c (Å): 5.376 5.376 6.769
angles (deg): 90.00 90.00 90.00
Element x y z (fractional)
Na1 0.000 0.000 0.000
Na2 0.500 0.500 0.500
Li1 0.000 0.500 0.250
Li2 0.000 0.500 0.750
Li3 0.500 0.000 0.250
Li4 0.500 0.000 0.750
Zr1 0.000 0.000 0.500
Zr2 0.500 0.500 0.000
O1 0.222 0.222 0.341
O2 0.222 0.778 0.659
O3 0.278 0.278 0.841
O4 0.278 0.722 0.159
O5 0.722 0.278 0.159
O6 0.722 0.722 0.841
O7 0.778 0.222 0.659
O8 0.778 0.778 0.341



# 2
Na3LiP: calculated powder diffractogram (Cu Kα), based on a DFT-relaxed cell (GGA-PBE, Alexandria).
No peak broadening, texture or thermal motion is included.

Most intense lines, 15° ≤ 2θ ≤ 90°, sorted by position:
two_theta	d/Å	Rel. int.
30.58	2.924	89
32.74	2.735	100
33.54	2.672	51
38.24	2.353	61
40.11	2.248	18
51.77	1.766	41

Structure:
a b c (Å): 7.134 7.134 7.134
angles (deg): 82.99 121.36 126.98
Element x y z (fractional)
Na1 0.167 0.005 0.662
Na2 0.247 0.022 0.269
Na3 0.247 0.478 0.725
Na4 0.343 0.505 0.338
Na5 0.753 0.522 0.275
Na6 0.753 0.978 0.731
Li1 0.257 0.756 0.000
Li2 0.756 0.256 0.000
P1 0.748 0.507 0.741
P2 0.765 0.007 0.259



# 3
NaLiPS4: calculated powder diffractogram (Cu Kα), based on a DFT-relaxed cell (GGA-PBE, Alexandria).
No peak broadening, texture or thermal motion is included.

Most intense lines, 15° ≤ 2θ ≤ 90°, sorted by position:
two_theta	d/Å	Rel. int.
18.51	4.793	75
18.91	4.693	75
27.16	3.283	83
29.77	3.001	85
34.08	2.630	64
46.57	1.950	100

Structure:
a b c (Å): 6.786 6.786 7.959
angles (deg): 90.00 90.00 117.80
Element x y z (fractional)
Na1 0.000 0.000 0.000
Na2 0.000 0.000 0.500
Li1 0.372 0.628 0.750
Li2 0.628 0.372 0.250
P1 0.364 0.636 0.250
P2 0.636 0.364 0.750
S1 0.237 0.300 0.250
S2 0.262 0.738 0.038
S3 0.262 0.738 0.462
S4 0.300 0.237 0.750
S5 0.700 0.763 0.250
S6 0.738 0.262 0.538
S7 0.738 0.262 0.962
S8 0.763 0.700 0.750



# 4
NaLi2TbP2: calculated powder diffractogram (Cu Kα), based on a DFT-relaxed cell (GGA-PBE, Alexandria).
No peak broadening, texture or thermal motion is included.

Most intense lines, 15° ≤ 2θ ≤ 90°, sorted by position:
two_theta	d/Å	Rel. int.
24.47	3.638	58
27.61	3.231	81
35.51	2.528	100
43.06	2.101	40
57.00	1.616	25
69.72	1.349	28

Structure:
a b c (Å): 4.201 4.201 7.031
angles (deg): 90.00 90.00 120.00
Element x y z (fractional)
Na1 0.000 0.000 0.000
Li1 0.333 0.667 0.182
Li2 0.667 0.333 0.818
Tb1 0.000 0.000 0.500
P1 0.333 0.667 0.736
P2 0.667 0.333 0.264



# 5
Na4LiPa3Se8: calculated powder diffractogram (Cu Kα), based on a DFT-relaxed cell (GGA-PBE, Alexandria).
No peak broadening, texture or thermal motion is included.

Most intense lines, 15° ≤ 2θ ≤ 90°, sorted by position:
two_theta	d/Å	Rel. int.
25.24	3.528	24
30.19	2.960	100
42.62	2.121	38
43.82	2.066	36
54.13	1.694	19
72.09	1.310	16

Structure:
a b c (Å): 8.491 8.491 8.491
angles (deg): 58.24 58.24 58.24
Element x y z (fractional)
Na1 0.000 0.000 0.000
Na2 0.000 0.500 0.500
Na3 0.500 0.000 0.500
Na4 0.500 0.500 0.000
Li1 0.500 0.500 0.500
Pa1 0.000 0.000 0.500
Pa2 0.000 0.500 0.000
Pa3 0.500 0.000 0.000
Se1 0.241 0.744 0.744
Se2 0.246 0.246 0.246
Se3 0.256 0.256 0.759
Se4 0.256 0.759 0.256
Se5 0.744 0.241 0.744
Se6 0.744 0.744 0.241
Se7 0.754 0.754 0.754
Se8 0.759 0.256 0.256



# 6
NaLi2Pb8: calculated powder diffractogram (Cu Kα), based on a DFT-relaxed cell (GGA-PBE, Alexandria).
No peak broadening, texture or thermal motion is included.

Most intense lines, 15° ≤ 2θ ≤ 90°, sorted by position:
two_theta	d/Å	Rel. int.
20.96	4.239	20
26.34	3.384	24
29.96	2.983	20
32.93	2.720	100
37.59	2.393	44
64.91	1.437	28

Structure:
a b c (Å): 8.836 8.836 8.836
angles (deg): 148.55 117.65 71.51
Element x y z (fractional)
Na1 0.000 0.000 0.000
Li1 0.305 0.305 0.000
Li2 0.695 0.695 0.000
Pb1 0.113 0.840 0.273
Pb2 0.160 0.660 0.500
Pb3 0.321 0.500 0.821
Pb4 0.433 0.160 0.273
Pb5 0.567 0.840 0.727
Pb6 0.679 0.500 0.179
Pb7 0.840 0.340 0.500
Pb8 0.887 0.160 0.727



# 7
NaLiPb3: calculated powder diffractogram (Cu Kα), based on a DFT-relaxed cell (GGA-PBE, Alexandria).
No peak broadening, texture or thermal motion is included.

Most intense lines, 15° ≤ 2θ ≤ 90°, sorted by position:
two_theta	d/Å	Rel. int.
21.90	4.059	40
29.41	3.037	100
30.18	2.961	36
30.98	2.887	64
38.10	2.362	38
40.47	2.229	32

Structure:
a b c (Å): 7.688 4.724 8.023
angles (deg): 90.00 98.64 90.00
Element x y z (fractional)
Na1 0.174 0.250 0.174
Na2 0.826 0.750 0.826
Li1 0.249 0.750 0.539
Li2 0.751 0.250 0.461
Pb1 0.080 0.250 0.681
Pb2 0.335 0.750 0.912
Pb3 0.483 0.250 0.671
Pb4 0.517 0.750 0.329
Pb5 0.665 0.250 0.088
Pb6 0.920 0.750 0.319



# 8
Na2Li3Pb5: calculated powder diffractogram (Cu Kα), based on a DFT-relaxed cell (GGA-PBE, Alexandria).
No peak broadening, texture or thermal motion is included.

Most intense lines, 15° ≤ 2θ ≤ 90°, sorted by position:
two_theta	d/Å	Rel. int.
20.79	4.272	92
23.74	3.747	87
28.23	3.161	100
32.28	2.774	94
33.52	2.673	84
36.71	2.448	92

Structure:
a b c (Å): 9.070 9.070 6.553
angles (deg): 95.46 95.46 98.76
Element x y z (fractional)
Na1 0.105 0.659 0.899
Na2 0.341 0.895 0.601
Na3 0.659 0.105 0.399
Na4 0.895 0.341 0.101
Li1 0.019 0.295 0.566
Li2 0.295 0.019 0.066
Li3 0.472 0.528 0.750
Li4 0.528 0.472 0.250
Li5 0.705 0.981 0.934
Li6 0.981 0.705 0.434
Pb1 0.007 0.993 0.750
Pb2 0.232 0.325 0.942
Pb3 0.232 0.547 0.384
Pb4 0.325 0.232 0.442
Pb5 0.453 0.768 0.116
Pb6 0.547 0.232 0.884
Pb7 0.675 0.768 0.558
Pb8 0.768 0.453 0.616
Pb9 0.768 0.675 0.058
Pb10 0.993 0.007 0.250



# 9
Na2Li4Pb3: calculated powder diffractogram (Cu Kα), based on a DFT-relaxed cell (GGA-PBE, Alexandria).
No peak broadening, texture or thermal motion is included.

Most intense lines, 15° ≤ 2θ ≤ 90°, sorted by position:
two_theta	d/Å	Rel. int.
19.33	4.593	22
22.37	3.974	100
28.06	3.181	41
35.26	2.545	49
35.70	2.515	44
40.52	2.226	21

Structure:
a b c (Å): 5.092 5.092 9.186
angles (deg): 90.05 90.05 59.95
Element x y z (fractional)
Na1 0.167 0.167 0.212
Na2 0.833 0.833 0.788
Li1 0.166 0.166 0.903
Li2 0.499 0.499 0.667
Li3 0.501 0.501 0.333
Li4 0.834 0.834 0.097
Pb1 0.166 0.166 0.579
Pb2 0.500 0.500 0.000
Pb3 0.834 0.834 0.421



# 10
Na3Li2Pb: calculated powder diffractogram (Cu Kα), based on a DFT-relaxed cell (GGA-PBE, Alexandria).
No peak broadening, texture or thermal motion is included.

Most intense lines, 15° ≤ 2θ ≤ 90°, sorted by position:
two_theta	d/Å	Rel. int.
16.69	5.312	50
16.92	5.239	100
20.67	4.297	30
22.44	3.962	52
32.86	2.726	42
33.14	2.703	41

Structure:
a b c (Å): 5.516 5.516 11.174
angles (deg): 101.31 101.31 101.44
Element x y z (fractional)
Na1 0.125 0.875 0.750
Na2 0.214 0.464 0.927
Na3 0.464 0.214 0.427
Na4 0.536 0.786 0.573
Na5 0.786 0.536 0.073
Na6 0.875 0.125 0.250
Li1 0.059 0.308 0.616
Li2 0.308 0.059 0.116
Li3 0.692 0.941 0.884
Li4 0.941 0.692 0.384
Pb1 0.374 0.626 0.250
Pb2 0.626 0.374 0.750



# 11
Na6LiPb2: calculated powder diffractogram (Cu Kα), based on a DFT-relaxed cell (GGA-PBE, Alexandria).
No peak broadening, texture or thermal motion is included.

Most intense lines, 15° ≤ 2θ ≤ 90°, sorted by position:
two_theta	d/Å	Rel. int.
17.34	5.114	41
19.41	4.574	72
19.87	4.469	32
21.70	4.095	69
31.84	2.811	100
36.19	2.482	41

Structure:
a b c (Å): 10.226 10.229 4.968
angles (deg): 90.00 90.00 90.00
Element x y z (fractional)
Na1 0.014 0.185 0.000
Na2 0.150 0.656 0.500
Na3 0.185 0.994 0.500
Na4 0.315 0.494 0.000
Na5 0.350 0.156 0.000
Na6 0.486 0.685 0.500
Na7 0.514 0.315 0.500
Na8 0.650 0.844 0.000
Na9 0.685 0.506 0.000
Na10 0.815 0.006 0.500
Na11 0.850 0.344 0.500
Na12 0.986 0.815 0.000
Li1 0.000 0.500 0.000
Li2 0.500 0.000 0.500
Pb1 0.179 0.328 0.500
Pb2 0.321 0.828 0.000
Pb3 0.679 0.172 0.000
Pb4 0.821 0.672 0.500



# 12
Na3Li2Pb5: calculated powder diffractogram (Cu Kα), based on a DFT-relaxed cell (GGA-PBE, Alexandria).
No peak broadening, texture or thermal motion is included.

Most intense lines, 15° ≤ 2θ ≤ 90°, sorted by position:
two_theta	d/Å	Rel. int.
19.53	4.545	100
25.69	3.467	36
32.48	2.757	64
33.70	2.659	41
35.52	2.528	43
39.25	2.295	39

Structure:
a b c (Å): 10.965 10.965 4.545
angles (deg): 90.00 90.00 90.00
Element x y z (fractional)
Na1 0.000 0.000 0.000
Na2 0.176 0.324 0.000
Na3 0.324 0.824 0.000
Na4 0.500 0.500 0.000
Na5 0.676 0.176 0.000
Na6 0.824 0.676 0.000
Li1 0.116 0.616 0.000
Li2 0.384 0.116 0.000
Li3 0.616 0.884 0.000
Li4 0.884 0.384 0.000
Pb1 0.000 0.500 0.500
Pb2 0.074 0.790 0.500
Pb3 0.210 0.074 0.500
Pb4 0.290 0.574 0.500
Pb5 0.426 0.290 0.500
Pb6 0.500 0.000 0.500
Pb7 0.574 0.710 0.500
Pb8 0.710 0.426 0.500
Pb9 0.790 0.926 0.500
Pb10 0.926 0.210 0.500